Entry 1:
PuThMnN4: simulated powder diffraction line list (copper Kα), based on DFT lattice parameters and positions (GGA-PBE).

Top 10 peaks for 2θ = 15–90°, low angle first:
h k l, 2θ (°), I/Imax
1 0 1, 24.74, 54
0 0 4, 28.64, 24
1 0 3, 32.11, 100
1 1 0, 33.72, 66
0 0 6, 43.55, 19
1 1 4, 44.81, 39
2 0 0, 48.43, 29
1 0 7, 57.24, 35
2 1 3, 59.30, 41
2 1 7, 78.19, 23

a = 3.7588 Å, b = 3.7588 Å, c = 12.4679 Å
α = 90.00°, β = 90.00°, γ = 90.00°
Positions (direct):
Pu: 0.0000 0.0000 0.0000
Pu: 0.5000 0.5000 0.5000
Th: 0.0000 0.0000 0.2775
Th: 0.5000 0.5000 0.7775
Mn: 0.0000 0.0000 0.6183
Mn: 0.5000 0.5000 0.1183
N: 0.0000 0.0000 0.4693
N: 0.0000 0.0000 0.8241
N: 0.0000 0.5000 0.1374
N: 0.0000 0.5000 0.6374
N: 0.5000 0.0000 0.1374
N: 0.5000 0.0000 0.6374
N: 0.5000 0.5000 0.3241
N: 0.5000 0.5000 0.9693


Entry 2:
ScS6I2: simulated powder diffraction line list (copper Kα), based on DFT lattice parameters and positions (GGA-PBE).

Top 10 peaks for 2θ = 15–90°, low angle first:
h k l, 2θ (°), I/Imax
0 1 1, 19.90, 100
0 2 -2, 23.91, 60
1 0 1, 24.75, 40
1 1 -2, 28.78, 82
1 -2 1, 29.24, 66
0 1 2, 30.39, 99
0 1 -3, 30.66, 45
0 2 1, 30.89, 41
1 2 -2, 32.13, 43
1 3 -1, 39.53, 43

a = 4.2150 Å, b = 8.5392 Å, c = 8.8446 Å
α = 117.98°, β = 92.37°, γ = 92.31°
Positions (direct):
Sc: 0.0000 0.0000 0.0000
S: 0.0972 0.5065 0.7274
S: 0.1010 0.7158 0.4699
S: 0.1220 0.2868 0.2892
S: 0.8780 0.7132 0.7108
S: 0.8990 0.2842 0.5301
S: 0.9028 0.4935 0.2726
I: 0.4910 0.8624 0.1349
I: 0.5090 0.1376 0.8651


Entry 3:
CsHfCr3: simulated powder diffraction line list (copper Kα), based on DFT lattice parameters and positions (GGA-PBE).

Top 10 peaks for 2θ = 15–90°, low angle first:
h k l, 2θ (°), I/Imax
1 1 0, 25.84, 100
1 1 1, 31.78, 27
2 0 0, 36.87, 69
2 1 1, 45.57, 44
2 2 0, 53.12, 46
3 1 0, 59.99, 20
2 2 2, 66.41, 15
3 2 1, 72.53, 23
4 1 1, 84.25, 12
4 2 0, 89.99, 21

a = 4.8763 Å, b = 4.8763 Å, c = 4.8763 Å
α = 90.00°, β = 90.00°, γ = 90.00°
Positions (direct):
Cs: 0.0000 0.0000 0.0000
Hf: 0.5000 0.5000 0.5000
Cr: 0.0000 0.0000 0.5000
Cr: 0.0000 0.5000 0.0000
Cr: 0.5000 0.0000 0.0000


Entry 4:
Sm2Ga6Rh9: simulated powder diffraction line list (copper Kα), based on DFT lattice parameters and positions (GGA-PBE).

Top 10 peaks for 2θ = 15–90°, low angle first:
h k l, 2θ (°), I/Imax
1 0 0, 18.39, 21
1 0 2, 23.96, 21
1 0 3, 29.55, 26
2 0 0, 37.27, 64
1 1 3, 39.84, 100
2 0 3, 44.21, 63
0 0 6, 46.84, 23
3 0 3, 62.52, 26
2 2 0, 67.22, 31
2 2 6, 85.91, 24

a = 5.5710 Å, b = 5.5710 Å, c = 11.6370 Å
α = 90.00°, β = 90.00°, γ = 120.00°
Positions (direct):
Sm: 0.0000 0.0000 0.1995
Sm: 0.0000 0.0000 0.8005
Ga: 0.3333 0.6667 0.1647
Ga: 0.3333 0.6667 0.5000
Ga: 0.3333 0.6667 0.8353
Ga: 0.6667 0.3333 0.1647
Ga: 0.6667 0.3333 0.5000
Ga: 0.6667 0.3333 0.8353
Rh: 0.0000 0.5000 0.0000
Rh: 0.0000 0.5000 0.3305
Rh: 0.0000 0.5000 0.6695
Rh: 0.5000 0.0000 0.0000
Rh: 0.5000 0.0000 0.3305
Rh: 0.5000 0.0000 0.6695
Rh: 0.5000 0.5000 0.0000
Rh: 0.5000 0.5000 0.3305
Rh: 0.5000 0.5000 0.6695